Record 1
# V5B2O10
Computed powder X-ray diffraction pattern, Cu Kα. Input: a cell relaxed with GGA+U.

Crystal structure
a = 9.442 Å, b = 12.404 Å, c = 3.123 Å
α = 90.00°, β = 90.00°, γ = 90.00°
Fractional coordinates of all 34 atoms:
V  0.000  0.000  0.000
V  0.016  0.291  0.000
V  0.245  0.611  0.500
V  0.255  0.111  0.500
V  0.484  0.791  0.000
V  0.500  0.500  0.000
V  0.516  0.209  0.000
V  0.745  0.889  0.500
V  0.755  0.389  0.500
V  0.984  0.709  0.000
B  0.215  0.856  0.500
B  0.285  0.356  0.500
B  0.715  0.644  0.500
B  0.785  0.144  0.500
O  0.113  0.148  0.000
O  0.121  0.591  0.000
O  0.130  0.764  0.500
O  0.140  0.345  0.500
O  0.152  0.957  0.500
O  0.348  0.457  0.500
O  0.360  0.845  0.500
O  0.370  0.264  0.500
O  0.379  0.091  0.000
O  0.387  0.648  0.000
O  0.613  0.352  0.000
O  0.621  0.909  0.000
O  0.630  0.736  0.500
O  0.640  0.155  0.500
O  0.652  0.543  0.500
O  0.848  0.043  0.500
O  0.860  0.655  0.500
O  0.870  0.236  0.500
O  0.879  0.409  0.000
O  0.887  0.852  0.000

Peak list (6 most intense, 15° ≤ 2θ ≤ 90°, by angle)
| Position (°2θ) | I_rel |
| --- | --- |
| 17.11 | 41 |
| 23.49 | 54 |
| 34.44 | 100 |
| 34.61 | 47 |
| 57.24 | 32 |
| 59.13 | 33 |


Record 2
# V3BO5
Computed powder X-ray diffraction pattern, Cu Kα. Input: a cell relaxed with GGA+U.

Crystal structure
a = 9.586 Å, b = 12.713 Å, c = 3.117 Å
α = 90.00°, β = 90.00°, γ = 90.00°
Fractional coordinates of all 36 atoms:
V  0.000  0.000  0.000
V  0.000  0.500  0.500
V  0.004  0.221  0.500
V  0.244  0.388  0.000
V  0.256  0.888  0.000
V  0.496  0.721  0.500
V  0.500  0.000  0.500
V  0.500  0.500  0.000
V  0.504  0.279  0.500
V  0.744  0.112  0.000
V  0.756  0.612  0.000
V  0.996  0.779  0.500
B  0.225  0.640  0.000
B  0.275  0.140  0.000
B  0.725  0.860  0.000
B  0.775  0.360  0.000
O  0.113  0.922  0.500
O  0.116  0.361  0.500
O  0.130  0.141  0.000
O  0.152  0.735  0.000
O  0.153  0.545  0.000
O  0.347  0.045  0.000
O  0.348  0.235  0.000
O  0.370  0.641  0.000
O  0.384  0.861  0.500
O  0.387  0.422  0.500
O  0.613  0.578  0.500
O  0.616  0.139  0.500
O  0.630  0.359  0.000
O  0.652  0.765  0.000
O  0.653  0.955  0.000
O  0.847  0.455  0.000
O  0.848  0.265  0.000
O  0.870  0.859  0.000
O  0.884  0.639  0.500
O  0.887  0.078  0.500

Peak list (6 most intense, 15° ≤ 2θ ≤ 90°, by angle)
| Position (°2θ) | I_rel |
| --- | --- |
| 16.73 | 50 |
| 33.84 | 100 |
| 34.32 | 85 |
| 42.96 | 34 |
| 45.97 | 41 |
| 59.71 | 35 |


What did the first record say?
# V5B2O10
Computed powder X-ray diffraction pattern, Cu Kα. Input: a cell relaxed with GGA+U.

Crystal structure
a = 9.442 Å, b = 12.404 Å, c = 3.123 Å
α = 90.00°, β = 90.00°, γ = 90.00°
Fractional coordinates of all 34 atoms:
V  0.000  0.000  0.000
V  0.016  0.291  0.000
V  0.245  0.611  0.500
V  0.255  0.111  0.500
V  0.484  0.791  0.000
V  0.500  0.500  0.000
V  0.516  0.209  0.000
V  0.745  0.889  0.500
V  0.755  0.389  0.500
V  0.984  0.709  0.000
B  0.215  0.856  0.500
B  0.285  0.356  0.500
B  0.715  0.644  0.500
B  0.785  0.144  0.500
O  0.113  0.148  0.000
O  0.121  0.591  0.000
O  0.130  0.764  0.500
O  0.140  0.345  0.500
O  0.152  0.957  0.500
O  0.348  0.457  0.500
O  0.360  0.845  0.500
O  0.370  0.264  0.500
O  0.379  0.091  0.000
O  0.387  0.648  0.000
O  0.613  0.352  0.000
O  0.621  0.909  0.000
O  0.630  0.736  0.500
O  0.640  0.155  0.500
O  0.652  0.543  0.500
O  0.848  0.043  0.500
O  0.860  0.655  0.500
O  0.870  0.236  0.500
O  0.879  0.409  0.000
O  0.887  0.852  0.000

Peak list (6 most intense, 15° ≤ 2θ ≤ 90°, by angle)
| Position (°2θ) | I_rel |
| --- | --- |
| 17.11 | 41 |
| 23.49 | 54 |
| 34.44 | 100 |
| 34.61 | 47 |
| 57.24 | 32 |
| 59.13 | 33 |